Theoretical powder XRD pattern of YScB2O6 for Cu Kα, 1.54184 Å, from a crystal structure in the Materials Project, relaxed with GGA-PBE.
Peak positions follow from Bragg's law for the DFT cell and can differ from measured ones.

Most intense lines, 2θ = 10–90°, in order of rising 2θ:
23.7 deg, intensity 60.3, (0 1 2)
30.6 deg, intensity 100.0, (1 0 4)
36.6 deg, intensity 23.4, (1 1 0)
40.4 deg, intensity 23.7, (2 -1 3)
44.0 deg, intensity 25.1, (2 0 2)
50.1 deg, intensity 21.5, (0 1 8)
50.3 deg, intensity 39.8, (1 1 6)
58.6 deg, intensity 17.9, (1 2 2)
62.2 deg, intensity 14.5, (2 1 4)
65.9 deg, intensity 13.6, (3 0 0)

Unit cell a=4.9105 b=4.9105 c=16.1191 alpha=90.00 beta=90.00 gamma=120.00
Space group R-3 (No. 148, hexagonal axes)
Symmetry-distinct sites (fractional):
Y  0.0000  0.0000  0.0000 [3 per cell]
Sc  0.0000  0.0000  0.5000 [3 per cell]
B  0.0000  0.0000  0.2450 [6 per cell]
O  0.0201  0.7279  0.2463 [18 per cell]